1.
Computed powder diffraction line list of PmCu2Br8 for CuKα, from a crystal structure in Alexandria, relaxed with GGA-PBE.

The 8 most intense peaks (2θ = 10–80°), most intense first:
- 2θ = 28.55°, intensity 100.0
- 2θ = 35.25°, intensity 80.1
- 2θ = 38.25°, intensity 78.9
- 2θ = 22.55°, intensity 54.1
- 2θ = 14.19°, intensity 53.2
- 2θ = 57.06°, intensity 33.6
- 2θ = 35.13°, intensity 29.4
- 2θ = 42.15°, intensity 28.4

Crystal structure
a b c (Å): 8.035 8.035 8.035
angles (deg): 126.56 126.56 78.97
Sites, in units of the cell vectors:
Pm 0.000 0.000 0.000
Cu 0.250 0.750 0.500
Cu 0.750 0.250 0.500
Br 0.054 0.559 0.847
Br 0.207 0.054 0.495
Br 0.288 0.441 0.495
Br 0.441 0.946 0.153
Br 0.559 0.712 0.505
Br 0.712 0.207 0.153
Br 0.793 0.288 0.847
Br 0.946 0.793 0.505



2.
Computed powder diffraction line list of Rb3Sn2Br3Cl4 for CuKα, from a crystal structure in Alexandria, relaxed with GGA-PBE.

The 8 most intense peaks (2θ = 10–80°), most intense first:
- 2θ = 31.52°, intensity 100.0
- 2θ = 21.72°, intensity 88.4
- 2θ = 44.25°, intensity 78.0
- 2θ = 30.26°, intensity 77.1
- 2θ = 22.14°, intensity 63.8
- 2θ = 12.46°, intensity 52.3
- 2θ = 15.93°, intensity 51.5
- 2θ = 28.84°, intensity 40.4

Crystal structure
a b c (Å): 14.784 14.784 14.784
angles (deg): 156.95 32.16 157.88
Sites, in units of the cell vectors:
Rb 0.000 0.000 0.000
Rb 0.049 0.865 0.183
Rb 0.682 0.865 0.817
Sn 0.282 0.891 0.391
Sn 0.500 0.891 0.609
Br 0.274 0.378 0.895
Br 0.346 0.846 0.500
Br 0.483 0.378 0.105
Cl 0.035 0.421 0.615
Cl 0.224 0.928 0.296
Cl 0.631 0.928 0.704
Cl 0.806 0.421 0.385